Entry 1:
Sm6YEr4: computed powder XRD pattern (Cu Kα), based on DFT lattice parameters and positions (GGA-PBE).
No peak broadening, texture or thermal motion is included.

The 10 most intense peaks (2θ = 5–70°), in order of rising 2θ:
- 30.27 deg, I = 65, hkl 1 1 7
- 30.58 deg, I = 59, hkl 0 2 7
- 30.89 deg, I = 77, hkl 2 0 0
- 31.79 deg, I = 100, hkl 1 3 0
- 31.98 deg, I = 39, hkl 1 3 1
- 33.21 deg, I = 69, hkl 1 1 8
- 44.02 deg, I = 44, hkl 2 2 7
- 55.51 deg, I = 22, hkl 3 3 0
- 56.06 deg, I = 20, hkl 1 5 7
- 57.34 deg, I = 28, hkl 0 6 1

Structure:
```
data_Sm6YEr4
_chemical_formula_sum 'Sm24 Y4 Er16'
_space_group_name_H-M_alt 'C m c m'
_space_group_IT_number 63
_space_group_name_Hall '-C 2c 2'
_cell_length_a 5.789
_cell_length_b 9.665
_cell_length_c 25.707
_cell_angle_alpha 90.00
_cell_angle_beta 90.00
_cell_angle_gamma 90.00
loop_
_atom_site_label
_atom_site_fract_x
_atom_site_fract_y
_atom_site_fract_z
Sm1 0.000 0.000 0.000
Sm2 0.000 0.042 0.250
Sm3 0.000 0.303 0.602
Sm4 0.000 0.370 0.182
Y1 0.000 0.295 0.750
Er1 0.000 0.037 0.123
Er2 0.000 0.348 0.044
```

Entry 2:
KPm3: computed powder XRD pattern (Cu Kα), based on DFT lattice parameters and positions (GGA-PBE).
No peak broadening, texture or thermal motion is included.

The 10 most intense peaks (2θ = 5–70°), in order of rising 2θ:
- 16.63 deg, I = 13, hkl 1 0 0
- 23.60 deg, I = 12, hkl 1 1 0
- 29.01 deg, I = 100, hkl 1 1 1
- 33.62 deg, I = 51, hkl 2 0 0
- 37.73 deg, I = 7, hkl 2 1 0
- 41.48 deg, I = 6, hkl 2 1 1
- 48.28 deg, I = 36, hkl 2 2 0
- 51.41 deg, I = 4, hkl 3 0 0
- 57.31 deg, I = 43, hkl 3 1 1
- 60.11 deg, I = 12, hkl 2 2 2

Structure:
```
data_KPm3
_chemical_formula_sum 'K1 Pm3'
_space_group_name_H-M_alt 'P m -3 m'
_space_group_IT_number 221
_space_group_name_Hall '-P 4 2 3'
_cell_length_a 5.332
_cell_length_b 5.332
_cell_length_c 5.332
_cell_angle_alpha 90.00
_cell_angle_beta 90.00
_cell_angle_gamma 90.00
loop_
_atom_site_label
_atom_site_fract_x
_atom_site_fract_y
_atom_site_fract_z
K1 0.000 0.000 0.000
Pm1 0.000 0.500 0.500
```

Entry 3:
Na3LaTe3: computed powder XRD pattern (Cu Kα), based on DFT lattice parameters and positions (GGA-PBE).
No peak broadening, texture or thermal motion is included.

The 10 most intense peaks (2θ = 5–70°), in order of rising 2θ:
- 11.58 deg, I = 18, hkl 0 0 3
- 12.31 deg, I = 27, hkl 1 0 1
- 14.01 deg, I = 20, hkl 0 1 2
- 23.28 deg, I = 13, hkl 0 0 6
- 23.44 deg, I = 100, hkl 1 1 3
- 31.08 deg, I = 70, hkl 1 1 6
- 35.56 deg, I = 50, hkl 3 0 0
- 41.00 deg, I = 33, hkl 2 -1 9
- 43.00 deg, I = 23, hkl 4 -2 3
- 47.93 deg, I = 14, hkl 4 -2 6

Structure:
```
data_Na3LaTe3
_chemical_formula_sum 'Na18 La6 Te18'
_space_group_name_H-M_alt 'R -3'
_space_group_IT_number 148
_space_group_name_Hall '-R 3'
_cell_length_a 8.7464
_cell_length_b 8.7464
_cell_length_c 22.9305
_cell_angle_alpha 90.00
_cell_angle_beta 90.00
_cell_angle_gamma 120.00
loop_
_atom_site_label
_atom_site_fract_x
_atom_site_fract_y
_atom_site_fract_z
Na1 0.0103 0.2904 0.1163
La1 0.0000 0.0000 0.3345
Te1 0.0068 0.3780 0.9226
```

Entry 4:
TaTc4Hg: computed powder XRD pattern (Cu Kα), based on DFT lattice parameters and positions (GGA-PBE).
No peak broadening, texture or thermal motion is included.

The 7 most intense peaks (2θ = 5–70°), in order of rising 2θ:
- 20.97 deg, I = 3, hkl 1 1 1
- 34.58 deg, I = 51, hkl 2 2 0
- 40.79 deg, I = 100, hkl 3 1 1
- 42.69 deg, I = 21, hkl 2 2 2
- 54.52 deg, I = 1, hkl 3 3 1
- 61.96 deg, I = 19, hkl 4 2 2
- 66.18 deg, I = 32, hkl 3 3 3

Structure:
```
data_TaTc4Hg
_chemical_formula_sum 'Ta4 Tc16 Hg4'
_space_group_name_H-M_alt 'F -4 3 m'
_space_group_IT_number 216
_space_group_name_Hall 'F -4 2 3'
_cell_length_a 7.337
_cell_length_b 7.337
_cell_length_c 7.337
_cell_angle_alpha 90.00
_cell_angle_beta 90.00
_cell_angle_gamma 90.00
loop_
_atom_site_label
_atom_site_fract_x
_atom_site_fract_y
_atom_site_fract_z
Ta1 0.000 0.000 0.000
Tc1 0.124 0.124 0.624
Hg1 0.250 0.250 0.250
```